[1]
For Tb2RuRh, a DFT-relaxed cell (GGA-PBE, Alexandria) gives the calculated powder XRD pattern in this record (copper Kα).

Atomic structure:
a = 4.8496 Å, b = 4.8496 Å, c = 3.4179 Å
α = 90.00°, β = 90.00°, γ = 90.00°
Space group P4/mmm (No. 123)
Asymmetric unit:
Tb: 0.0000 0.5000 0.0000 (multiplicity 2)
Ru: 0.0000 0.0000 0.5000 (multiplicity 1)
Rh: 0.5000 0.5000 0.5000 (multiplicity 1)

Principal peaks in the range 10° ≤ 2θ ≤ 90°, most intense first:
| d (Å) | I (rel.) | index |
| --- | --- | --- |
| 2.422 | 100.0 | 2 0 0 |
| 1.399 | 23.5 | 3 1 1 |
| 1.397 | 11.7 | 2 0 2 |
| 1.715 | 11.6 | 2 2 0 |
| 1.210 | 7.3 | 2 2 2 |
| 1.709 | 5.7 | 0 0 2 |
| 3.425 | 5.0 | 1 1 0 |
| 1.212 | 3.7 | 4 0 0 |
| 1.978 | 1.6 | 2 0 1 |
| 1.533 | 1.4 | 3 1 0 |
| 1.530 | 0.7 | 1 1 2 |
| 1.141 | 0.6 | 3 1 2 |

=====

[2]
For SrLi2HfS4, a DFT-relaxed cell (GGA-PBE, Alexandria) gives the calculated powder XRD pattern in this record (copper Kα).

Atomic structure:
a = 6.7146 Å, b = 6.7146 Å, c = 8.0779 Å
α = 90.00°, β = 90.00°, γ = 90.00°
Space group I-42m (No. 121)
Asymmetric unit:
Sr: 0.0000 0.0000 0.0000 (multiplicity 2)
Li: 0.0000 0.5000 0.2500 (multiplicity 4)
Hf: 0.0000 0.0000 0.5000 (multiplicity 2)
S: 0.2081 0.2081 0.6684 (multiplicity 8)

Principal peaks in the range 10° ≤ 2θ ≤ 90°, most intense first:
| d (Å) | I (rel.) | index |
| --- | --- | --- |
| 4.748 | 100.0 | 1 1 0 |
| 3.076 | 84.2 | 1 1 2 |
| 2.582 | 60.8 | 2 0 2 |
| 1.879 | 42.4 | 3 1 2 |
| 5.164 | 38.4 | 1 0 1 |
| 2.374 | 33.7 | 2 2 0 |
| 1.731 | 19.6 | 2 0 4 |
| 2.123 | 18.7 | 3 1 0 |
| 1.858 | 17.1 | 1 1 4 |
| 1.463 | 16.2 | 3 1 4 |
| 4.039 | 15.8 | 0 0 2 |
| 1.407 | 15.3 | 4 2 2 |

=====

[3]
For AlCuOs2, a DFT-relaxed cell (GGA-PBE, Alexandria) gives the calculated powder XRD pattern in this record (copper Kα).

Atomic structure:
a = 3.8934 Å, b = 3.8934 Å, c = 7.2532 Å
α = 90.00°, β = 90.00°, γ = 90.00°
Space group I-4m2 (No. 119)
Asymmetric unit:
Al: 0.0000 0.0000 0.0000 (multiplicity 2)
Cu: 0.0000 0.5000 0.7500 (multiplicity 2)
Os: 0.0000 0.0000 0.5000 (multiplicity 2)
Os: 0.0000 0.5000 0.2500 (multiplicity 2)

Principal peaks in the range 10° ≤ 2θ ≤ 90°, most intense first:
| d (Å) | I (rel.) | index |
| --- | --- | --- |
| 2.193 | 100.0 | 1 1 2 |
| 3.430 | 58.8 | 1 0 1 |
| 1.947 | 34.9 | 2 0 0 |
| 1.166 | 26.5 | 3 1 2 |
| 1.327 | 19.9 | 2 0 4 |
| 1.693 | 16.6 | 2 1 1 |
| 2.054 | 14.8 | 1 0 3 |
| 1.813 | 14.0 | 0 0 4 |
| 1.107 | 11.6 | 1 1 6 |
| 1.096 | 11.3 | 2 2 4 |
| 1.377 | 11.2 | 2 2 0 |
| 1.413 | 9.3 | 2 1 3 |

=====

[4]
For PuGaCu3, a DFT-relaxed cell (GGA-PBE, Alexandria) gives the calculated powder XRD pattern in this record (copper Kα).

Atomic structure:
a = 5.3031 Å, b = 9.1893 Å, c = 7.3876 Å
α = 90.00°, β = 90.00°, γ = 90.00°
Space group Imma (No. 74)
Asymmetric unit:
Pu: 0.0000 0.2500 0.1195 (multiplicity 4)
Ga: 0.0000 0.0000 0.5000 (multiplicity 4)
Cu: 0.0000 0.2500 0.5441 (multiplicity 4)
Cu: 0.2500 0.0960 0.7500 (multiplicity 8)

Principal peaks in the range 10° ≤ 2θ ≤ 90°, most intense first:
| d (Å) | I (rel.) | index |
| --- | --- | --- |
| 2.878 | 100.0 | 1 1 2 |
| 2.154 | 68.6 | 2 0 2 |
| 3.143 | 53.3 | 1 2 1 |
| 2.830 | 49.2 | 0 3 1 |
| 2.297 | 41.9 | 2 2 0 |
| 2.408 | 40.0 | 2 1 1 |
| 1.736 | 35.1 | 2 4 0 |
| 4.595 | 33.9 | 0 2 0 |
| 1.571 | 33.5 | 3 1 2 |
| 2.233 | 23.9 | 1 0 3 |
| 1.714 | 18.2 | 0 2 4 |
| 2.379 | 17.6 | 0 1 3 |

=====

[5]
For Np2Mn9P6, a DFT-relaxed cell (GGA-PBE, Alexandria) gives the calculated powder XRD pattern in this record (copper Kα).

Atomic structure:
a = 5.1892 Å, b = 5.1892 Å, c = 10.6372 Å
α = 90.00°, β = 90.00°, γ = 120.00°
Space group P6/mmm (No. 191)
Asymmetric unit:
Np: 0.0000 0.0000 0.1647 (multiplicity 2)
Mn: 0.0000 0.5000 0.0000 (multiplicity 3)
Mn: 0.0000 0.5000 0.3365 (multiplicity 6)
P: 0.3333 0.6667 0.1688 (multiplicity 4)
P: 0.3333 0.6667 0.5000 (multiplicity 2)

Principal peaks in the range 10° ≤ 2θ ≤ 90°, most intense first:
| d (Å) | I (rel.) | index |
| --- | --- | --- |
| 2.094 | 100.0 | 1 1 3 |
| 2.784 | 99.3 | 1 0 3 |
| 2.247 | 72.1 | 2 0 0 |
| 4.140 | 52.6 | 1 0 1 |
| 1.532 | 33.3 | 2 1 3 |
| 2.595 | 32.3 | 1 1 0 |
| 1.392 | 29.5 | 2 0 6 |
| 3.433 | 29.4 | 1 0 2 |
| 1.380 | 25.6 | 3 0 3 |
| 1.297 | 20.0 | 2 2 0 |
| 1.773 | 19.2 | 0 0 6 |
| 4.494 | 18.7 | 1 0 0 |

=====

[6]
For Pu5Ge3, a DFT-relaxed cell (GGA-PBE, Alexandria) gives the calculated powder XRD pattern in this record (copper Kα).

Atomic structure:
a = 7.8861 Å, b = 7.8861 Å, c = 3.4489 Å
α = 90.00°, β = 90.00°, γ = 120.00°
Space group P-62m (No. 189)
Asymmetric unit:
Pu: 0.0000 0.7480 0.0000 (multiplicity 3)
Pu: 0.3333 0.6667 0.0000 (multiplicity 2)
Ge: 0.0000 0.3793 0.5000 (multiplicity 3)

Principal peaks in the range 10° ≤ 2θ ≤ 90°, most intense first:
| d (Å) | I (rel.) | index |
| --- | --- | --- |
| 2.596 | 100.0 | 1 1 1 |
| 2.581 | 93.2 | 2 1 0 |
| 2.067 | 69.9 | 2 1 1 |
| 3.449 | 57.0 | 0 0 1 |
| 2.277 | 51.4 | 3 0 0 |
| 2.427 | 46.9 | 2 0 1 |
| 1.427 | 33.0 | 3 2 1 |
| 1.434 | 31.5 | 2 1 2 |
| 1.368 | 30.6 | 4 1 1 |
| 3.415 | 27.7 | 2 0 0 |
| 3.943 | 26.6 | 1 1 0 |
| 1.900 | 23.0 | 3 0 1 |

=====

[7]
For BaNaNpN3, a DFT-relaxed cell (GGA-PBE, Alexandria) gives the calculated powder XRD pattern in this record (copper Kα).

Atomic structure:
a = 5.9311 Å, b = 12.5006 Å, c = 5.9808 Å
α = 90.00°, β = 99.74°, γ = 90.00°
Space group C2/c (No. 15)
Asymmetric unit:
Ba: 0.0000 0.2500 0.2500 (multiplicity 4)
Na: 0.0000 0.0696 0.7500 (multiplicity 4)
Np: 0.0000 0.4348 0.7500 (multiplicity 4)
N: 0.0000 0.2736 0.7500 (multiplicity 4)
N: 0.1957 0.4480 0.5065 (multiplicity 8)

Principal peaks in the range 10° ≤ 2θ ≤ 90°, most intense first:
| d (Å) | I (rel.) | index |
| --- | --- | --- |
| 5.295 | 100.0 | 1 1 0 |
| 2.823 | 79.2 | 1 3 1 |
| 3.074 | 77.1 | 1 3 -1 |
| 2.923 | 42.6 | 2 0 0 |
| 2.947 | 42.2 | 0 0 2 |
| 4.288 | 37.3 | 0 2 1 |
| 2.761 | 36.7 | 0 4 1 |
| 2.277 | 26.0 | 2 0 -2 |
| 1.778 | 20.2 | 1 3 -3 |
| 1.767 | 19.5 | 3 3 -1 |
| 1.919 | 15.6 | 2 0 2 |
| 2.083 | 13.9 | 0 6 0 |

=====

[8]
For CsSrZnSe2, a DFT-relaxed cell (GGA-PBE, Alexandria) gives the calculated powder XRD pattern in this record (copper Kα).

Atomic structure:
a = 8.3844 Å, b = 5.3097 Å, c = 8.9924 Å
α = 90.00°, β = 100.16°, γ = 90.00°
Space group P2/c (No. 13)
Asymmetric unit:
Cs: 0.0000 0.1775 0.2500 (multiplicity 2)
Sr: 0.5000 0.4912 0.7500 (multiplicity 2)
Zn: 0.5000 0.0000 0.0000 (multiplicity 2)
Se: 0.2785 0.3043 0.9656 (multiplicity 4)

Principal peaks in the range 10° ≤ 2θ ≤ 90°, most intense first:
| d (Å) | I (rel.) | index |
| --- | --- | --- |
| 3.842 | 100.0 | 1 1 1 |
| 2.578 | 42.4 | 1 1 -3 |
| 3.003 | 37.9 | 1 1 2 |
| 4.223 | 35.8 | 1 0 -2 |
| 3.305 | 31.9 | 1 1 -2 |
| 3.206 | 31.8 | 2 1 -1 |
| 3.325 | 31.3 | 2 0 -2 |
| 1.644 | 28.0 | 0 3 2 |
| 2.783 | 27.1 | 2 0 2 |
| 2.465 | 24.2 | 1 2 -1 |
| 2.213 | 24.1 | 0 0 4 |
| 2.063 | 23.8 | 4 0 0 |

=====

[9]
For CaNi6Bi6, a DFT-relaxed cell (GGA-PBE, Alexandria) gives the calculated powder XRD pattern in this record (copper Kα).

Atomic structure:
a = 5.6889 Å, b = 9.1400 Å, c = 9.9176 Å
α = 90.00°, β = 90.00°, γ = 90.00°
Space group Immm (No. 71)
Asymmetric unit:
Ca: 0.0000 0.0000 0.0000 (multiplicity 2)
Ni: 0.0000 0.2521 0.5000 (multiplicity 4)
Ni: 0.2500 0.2500 0.2500 (multiplicity 8)
Bi: 0.0000 0.0000 0.3339 (multiplicity 4)
Bi: 0.0000 0.3285 0.0000 (multiplicity 4)
Bi: 0.0000 0.5000 0.3340 (multiplicity 4)

Principal peaks in the range 10° ≤ 2θ ≤ 90°, most intense first:
| d (Å) | I (rel.) | index |
| --- | --- | --- |
| 2.858 | 100.0 | 1 0 3 |
| 3.355 | 73.5 | 1 2 1 |
| 2.171 | 68.3 | 2 2 2 |
| 2.423 | 57.5 | 1 2 3 |
| 2.844 | 49.4 | 2 0 0 |
| 1.344 | 46.4 | 2 6 0 |
| 2.074 | 40.9 | 1 4 1 |
| 2.179 | 35.7 | 0 2 4 |
| 2.415 | 28.5 | 2 2 0 |
| 1.429 | 26.0 | 2 0 6 |
| 2.285 | 24.6 | 0 4 0 |
| 1.645 | 20.4 | 3 0 3 |

=====

[10]
For CeGa2PbBr8, a DFT-relaxed cell (GGA-PBE, Alexandria) gives the calculated powder XRD pattern in this record (copper Kα).

Atomic structure:
a = 6.9045 Å, b = 8.9283 Å, c = 7.2666 Å
α = 90.00°, β = 91.86°, γ = 90.00°
Space group P2/m (No. 10)
Asymmetric unit:
Ce: 0.0000 0.0000 0.0000 (multiplicity 1)
Ga: 0.5000 0.2612 0.5000 (multiplicity 2)
Pb: 0.0000 0.5000 0.0000 (multiplicity 1)
Br: 0.2260 0.2333 0.8449 (multiplicity 4)
Br: 0.2433 0.0000 0.3107 (multiplicity 2)
Br: 0.2739 0.5000 0.3329 (multiplicity 2)

Principal peaks in the range 10° ≤ 2θ ≤ 90°, most intense first:
| d (Å) | I (rel.) | index |
| --- | --- | --- |
| 3.355 | 100.0 | 1 2 -1 |
| 5.086 | 73.9 | 1 0 -1 |
| 2.128 | 65.3 | 0 2 3 |
| 2.577 | 63.6 | 2 2 -1 |
| 4.924 | 56.8 | 1 0 1 |
| 2.534 | 47.4 | 2 2 1 |
| 3.172 | 42.5 | 1 0 2 |
| 3.748 | 41.7 | 1 2 0 |
| 2.232 | 36.8 | 0 4 0 |
| 2.044 | 35.2 | 3 2 0 |
| 7.263 | 29.2 | 0 0 1 |
| 2.631 | 28.9 | 1 2 -2 |

=====

[11]
For Cs3TbBi2O8, a DFT-relaxed cell (GGA-PBE, Alexandria) gives the calculated powder XRD pattern in this record (copper Kα).

Atomic structure:
a = 6.4985 Å, b = 6.4985 Å, c = 8.5589 Å
α = 90.00°, β = 90.00°, γ = 120.00°
Space group P-3m1 (No. 164)
Asymmetric unit:
Cs: 0.0000 0.0000 0.0000 (multiplicity 1)
Cs: 0.3333 0.6667 0.6959 (multiplicity 2)
Tb: 0.0000 0.0000 0.5000 (multiplicity 1)
Bi: 0.3333 0.6667 0.2543 (multiplicity 2)
O: 0.1637 0.3275 0.3417 (multiplicity 6)
O: 0.3333 0.6667 0.0212 (multiplicity 2)

Principal peaks in the range 10° ≤ 2θ ≤ 90°, most intense first:
| d (Å) | I (rel.) | index |
| --- | --- | --- |
| 3.249 | 100.0 | 1 1 0 |
| 3.406 | 82.0 | 0 1 2 |
| 2.351 | 36.1 | 2 0 2 |
| 1.905 | 32.9 | 1 2 2 |
| 1.787 | 25.2 | 1 1 4 |
| 1.876 | 21.2 | 3 0 0 |
| 1.625 | 16.6 | 2 2 0 |
| 4.702 | 15.2 | 1 0 1 |
| 1.466 | 14.3 | 3 1 2 |
| 1.411 | 13.4 | 0 3 4 |
| 1.228 | 10.9 | 4 1 0 |
| 2.588 | 9.4 | 1 1 2 |

=====

[12]
For U6Ag3S14, a DFT-relaxed cell (GGA-PBE, Alexandria) gives the calculated powder XRD pattern in this record (copper Kα).

Atomic structure:
a = 9.6732 Å, b = 9.6732 Å, c = 5.7894 Å
α = 90.00°, β = 90.00°, γ = 120.00°
Space group P3 (No. 143)
Asymmetric unit:
U: 0.0403 0.5585 0.0000 (multiplicity 3)
U: 0.2909 0.1067 0.4981 (multiplicity 3)
Ag: 0.0000 0.0000 0.8909 (multiplicity 1)
Ag: 0.3333 0.6667 0.3909 (multiplicity 1)
Ag: 0.6667 0.3333 0.7351 (multiplicity 1)
S: 0.0000 0.0000 0.3079 (multiplicity 1)
S: 0.1072 0.8371 0.7276 (multiplicity 3)
S: 0.1706 0.3952 0.2273 (multiplicity 3)
S: 0.3333 0.6667 0.8105 (multiplicity 1)
S: 0.4084 0.1849 0.0312 (multiplicity 3)
S: 0.5137 0.4500 0.5248 (multiplicity 3)

Principal peaks in the range 10° ≤ 2θ ≤ 90°, most intense first:
| d (Å) | I (rel.) | index |
| --- | --- | --- |
| 3.394 | 100.0 | 2 0 1 |
| 2.418 | 39.7 | 2 2 0 |
| 2.381 | 31.9 | 0 2 2 |
| 4.763 | 29.6 | 1 0 1 |
| 3.166 | 27.2 | 1 2 0 |
| 2.136 | 23.9 | 1 2 2 |
| 2.515 | 22.4 | 0 3 1 |
| 1.743 | 21.0 | 5 -1 1 |
| 4.189 | 20.8 | 2 0 0 |
| 2.156 | 20.6 | 4 -3 1 |
| 3.712 | 19.0 | 1 1 1 |
| 2.895 | 16.7 | 0 0 2 |

=====

[13]
For SrNp2CuO8, a DFT-relaxed cell (GGA-PBE, Alexandria) gives the calculated powder XRD pattern in this record (copper Kα).

Atomic structure:
a = 7.5321 Å, b = 6.8385 Å, c = 6.9612 Å
α = 90.00°, β = 91.82°, γ = 90.00°
Space group C2/m (No. 12)
Asymmetric unit:
Sr: 0.0000 0.0000 0.0000 (multiplicity 2)
Np: 0.0019 0.5000 0.2582 (multiplicity 4)
Cu: 0.0000 0.0000 0.5000 (multiplicity 2)
O: 0.0012 0.2164 0.7201 (multiplicity 8)
O: 0.1664 0.5000 0.9868 (multiplicity 4)
O: 0.1705 0.5000 0.4930 (multiplicity 4)

Principal peaks in the range 10° ≤ 2θ ≤ 90°, most intense first:
| d (Å) | I (rel.) | index |
| --- | --- | --- |
| 3.764 | 100.0 | 2 0 0 |
| 5.062 | 95.6 | 1 1 0 |
| 2.896 | 80.3 | 1 1 -2 |
| 3.419 | 72.1 | 0 2 0 |
| 2.839 | 71.9 | 1 1 2 |
| 2.531 | 45.8 | 2 2 0 |
| 1.978 | 36.3 | 3 1 -2 |
| 1.924 | 33.0 | 3 1 2 |
| 1.856 | 26.5 | 1 3 -2 |
| 1.841 | 24.7 | 1 3 2 |
| 1.506 | 19.4 | 3 3 2 |
| 1.531 | 17.6 | 3 3 -2 |